For Pm3RhC4, a crystal structure in Alexandria, relaxed with GGA-PBE gives the calculated powder diffractogram in this record (a wavelength of 1.5418 Å).
Peak positions follow from Bragg's law for the DFT cell and can differ from measured ones.

Peak list (8 most intense, 10° ≤ 2θ ≤ 80°, by angle)
2theta	I (rel.)	hkl
25.03	26	2 0 1
27.55	33	4 0 -1
32.29	55	6 0 0
32.98	100	1 1 1
34.33	43	3 1 -1
39.84	35	5 1 -1
42.25	25	2 0 -2
53.09	28	7 1 1

Crystal structure
```
data_Pm3RhC4
_symmetry_space_group_name_H-M 'C 1 2/m 1'
_symmetry_Int_Tables_number 12
_cell_length_a 16.8460
_cell_length_b 3.7282
_cell_length_c 4.2981
_cell_angle_alpha 90.00
_cell_angle_beta 99.13
_cell_angle_gamma 90.00
loop_
_symmetry_equiv_pos_as_xyz
'x,y,z'
'-x,-y,-z'
'-x,y,-z'
'x,-y,z'
'x+1/2,y+1/2,z'
'-x+1/2,-y+1/2,-z'
'-x+1/2,y+1/2,-z'
'x+1/2,-y+1/2,z'
loop_
_atom_site_label
_atom_site_fract_x
_atom_site_fract_y
_atom_site_fract_z
_atom_site_occupancy
Pm1 0.0000 0.0000 0.0000 1
Pm2 0.1771 0.0000 0.7137 1
Rh1 0.0000 0.5000 0.5000 1
C1 0.1028 0.5000 0.3225 1
C2 0.1737 0.5000 0.2207 1
```